Starting from a structure optimized by DFT (PBE), the powder XRD pattern of Dy4YEr7 was simulated for Cu Kα.
Peak positions follow from Bragg's law for the DFT cell and can differ from measured ones.

Principal peaks in the range 2θ from 10° to 90°, by angle:
Position (°2θ)  I/Imax
30.8  91
30.9  27
33.1  81
33.9  100
44.1  37
56.7  23

Structural model:
```
Dy4YEr7
1.0
6.006 -2.906 0.000
6.006 2.906 0.000
-5.974 0.000 11.087
Dy Y Er
4 1 7
direct
0.135 0.135 0.275
0.253 0.253 0.818
0.747 0.747 0.182
0.865 0.865 0.725
0.500 0.500 0.500
0.000 0.000 0.500
0.135 0.135 0.001
0.287 0.287 0.576
0.440 0.440 0.176
0.560 0.560 0.824
0.713 0.713 0.424
0.865 0.865 0.999
```



Starting from a structure optimized by DFT (PBE), the powder XRD pattern of Pm5NdHo2Th was simulated for Cu Kα.
Peak positions follow from Bragg's law for the DFT cell and can differ from measured ones.

Principal peaks in the range 2θ from 10° to 90°, by angle:
Position (°2θ)  I/Imax
27.5  20
30.2  45
31.4  43
31.8  100
56.1  21
61.0  14

Structural model:
```
Pm5NdHo2Th
1.0
2.852 -10.208 0.000
2.852 10.208 0.000
0.000 0.000 10.557
Pm Nd Ho Th
10 2 4 2
direct
0.016 0.984 0.500
0.277 0.723 0.208
0.294 0.706 0.817
0.388 0.612 0.495
0.477 0.523 0.781
0.523 0.477 0.281
0.612 0.388 0.995
0.706 0.294 0.317
0.723 0.277 0.708
0.984 0.016 0.000
0.411 0.589 0.075
0.589 0.411 0.575
0.113 0.887 0.788
0.116 0.884 0.203
0.884 0.116 0.703
0.887 0.113 0.288
0.199 0.801 0.509
0.801 0.199 0.009
```



Starting from a structure optimized by DFT (PBE), the powder XRD pattern of K5Na2Au4 was simulated for Cu Kα.
Peak positions follow from Bragg's law for the DFT cell and can differ from measured ones.

Principal peaks in the range 2θ from 10° to 90°, by angle:
Position (°2θ)  I/Imax
10.2  100
16.2  30
20.4  48
28.5  34
31.4  34
33.8  55

Structural model:
```
K5Na2Au4
1.0
8.915 -2.521 0.000
8.915 2.521 0.000
-2.296 0.000 8.705
K Na Au
5 2 4
direct
0.000 0.000 0.000
0.316 0.316 0.417
0.338 0.338 0.907
0.662 0.662 0.093
0.684 0.684 0.583
0.060 0.060 0.657
0.940 0.940 0.343
0.111 0.111 0.348
0.480 0.480 0.722
0.520 0.520 0.278
0.889 0.889 0.652
```



Starting from a structure optimized by DFT (PBE), the powder XRD pattern of HoEr8Sc4 was simulated for Cu Kα.
Peak positions follow from Bragg's law for the DFT cell and can differ from measured ones.

Principal peaks in the range 2θ from 10° to 90°, by angle:
Position (°2θ)  I/Imax
19.8  18
30.3  41
32.4  100
37.9  18
40.1  26
52.4  26

Structural model:
```
HoEr8Sc4
1.0
3.495 2.018 8.958
-3.495 2.018 8.958
0.000 -4.036 8.958
Ho Er Sc
1 8 4
direct
0.000 0.000 0.000
0.252 0.252 0.709
0.252 0.709 0.252
0.285 0.285 0.285
0.291 0.748 0.748
0.709 0.252 0.252
0.715 0.715 0.715
0.748 0.291 0.748
0.748 0.748 0.291
0.000 0.000 0.500
0.000 0.500 0.000
0.500 0.000 0.000
0.500 0.500 0.500
```



Starting from a structure optimized by DFT (PBE), the powder XRD pattern of NdSm2P3 was simulated for Cu Kα.
Peak positions follow from Bragg's law for the DFT cell and can differ from measured ones.

Principal peaks in the range 2θ from 10° to 90°, by angle:
Position (°2θ)  I/Imax
26.4  81
30.6  100
43.9  73
51.9  40
54.4  26
80.6  21

Structural model:
```
NdSm2P3
1.0
4.133 0.000 0.000
0.000 5.835 0.000
0.000 0.000 12.379
Nd Sm P
2 4 6
direct
0.000 0.000 0.000
0.500 0.500 0.500
0.000 0.000 0.334
0.000 0.000 0.666
0.500 0.500 0.166
0.500 0.500 0.834
0.000 0.500 0.000
0.000 0.500 0.331
0.000 0.500 0.669
0.500 0.000 0.169
0.500 0.000 0.500
0.500 0.000 0.831
```



Starting from a structure optimized by DFT (PBE), the powder XRD pattern of PmDy3P4 was simulated for Cu Kα.
Peak positions follow from Bragg's law for the DFT cell and can differ from measured ones.

Principal peaks in the range 2θ from 10° to 90°, by angle:
Position (°2θ)  I/Imax
27.0  86
31.3  100
44.9  73
53.2  42
55.7  26
74.3  33

Structural model:
```
PmDy3P4
1.0
8.078 0.000 0.000
0.000 11.420 0.000
0.000 0.000 4.041
Pm Dy P
2 6 8
direct
0.000 0.000 0.000
0.500 0.500 0.000
0.000 0.500 0.000
0.250 0.250 0.500
0.250 0.750 0.500
0.500 0.000 0.000
0.750 0.250 0.500
0.750 0.750 0.500
0.000 0.253 0.000
0.000 0.747 0.000
0.245 0.500 0.500
0.255 0.000 0.500
0.500 0.247 0.000
0.500 0.753 0.000
0.745 0.000 0.500
0.755 0.500 0.500
```



Starting from a structure optimized by DFT (PBE), the powder XRD pattern of Al2PW was simulated for Cu Kα.
Peak positions follow from Bragg's law for the DFT cell and can differ from measured ones.

Principal peaks in the range 2θ from 10° to 90°, by angle:
Position (°2θ)  I/Imax
18.2  97
22.0  57
28.7  64
29.5  80
37.1  100
43.4  59

Structural model:
```
Al2PW
1.0
3.188 0.000 0.000
0.000 4.032 0.000
-1.580 0.000 4.870
Al P W
2 1 1
direct
0.000 0.000 0.000
0.334 0.500 0.672
0.589 0.500 0.181
0.725 0.000 0.452
```



Starting from a structure optimized by DFT (PBE), the powder XRD pattern of U2O5 was simulated for Cu Kα.
Peak positions follow from Bragg's law for the DFT cell and can differ from measured ones.

Principal peaks in the range 2θ from 10° to 90°, by angle:
Position (°2θ)  I/Imax
28.6  100
30.8  20
45.9  19
47.7  18
53.5  20
56.4  19

Structural model:
```
U2O5
1.0
-2.707 5.801 2.528
2.707 -5.801 2.528
2.707 5.801 -2.528
U O
4 10
direct
0.122 0.247 0.369
0.378 0.747 0.125
0.622 0.253 0.875
0.878 0.753 0.631
0.022 0.750 0.272
0.084 0.870 0.955
0.250 0.750 0.500
0.416 0.370 0.786
0.478 0.750 0.728
0.522 0.250 0.272
0.584 0.630 0.214
0.750 0.250 0.500
0.916 0.130 0.045
0.978 0.250 0.728
```



Starting from a structure optimized by DFT (PBE), the powder XRD pattern of La2Nd3Dy5 was simulated for Cu Kα.
Peak positions follow from Bragg's law for the DFT cell and can differ from measured ones.

Principal peaks in the range 2θ from 10° to 90°, by angle:
Position (°2θ)  I/Imax
29.5  100
30.9  96
33.4  44
48.4  23
60.3  22
62.9  24

Structural model:
```
La2Nd3Dy5
1.0
5.365 -8.419 0.000
5.365 8.419 0.000
-5.363 0.000 7.522
La Nd Dy
4 6 10
direct
0.021 0.276 0.044
0.276 0.021 0.544
0.724 0.979 0.456
0.979 0.724 0.956
0.023 0.977 0.750
0.229 0.482 0.457
0.482 0.229 0.957
0.518 0.771 0.043
0.771 0.518 0.543
0.977 0.023 0.250
0.120 0.385 0.748
0.222 0.778 0.750
0.278 0.722 0.250
0.385 0.120 0.248
0.475 0.525 0.250
0.525 0.475 0.750
0.615 0.880 0.752
0.722 0.278 0.750
0.778 0.222 0.250
0.880 0.615 0.252
```



Starting from a structure optimized by DFT (PBE), the powder XRD pattern of ZnIn3Au12 was simulated for Cu Kα.
Peak positions follow from Bragg's law for the DFT cell and can differ from measured ones.

Principal peaks in the range 2θ from 10° to 90°, by angle:
Position (°2θ)  I/Imax
34.9  29
38.0  41
38.7  63
39.9  100
60.9  20
74.1  22

Structural model:
```
ZnIn3Au12
1.0
4.741 0.000 0.000
0.000 11.713 0.000
0.000 0.000 5.340
Zn In Au
1 3 12
direct
0.000 0.000 0.000
0.000 0.500 0.013
0.500 0.248 0.339
0.500 0.752 0.339
0.000 0.122 0.511
0.000 0.242 0.016
0.000 0.372 0.516
0.000 0.628 0.516
0.000 0.758 0.016
0.000 0.878 0.511
0.500 0.000 0.309
0.500 0.120 0.832
0.500 0.374 0.840
0.500 0.500 0.336
0.500 0.626 0.840
0.500 0.880 0.832
```



Starting from a structure optimized by DFT (PBE), the powder XRD pattern of Pm3RhI was simulated for Cu Kα.
Peak positions follow from Bragg's law for the DFT cell and can differ from measured ones.

Principal peaks in the range 2θ from 10° to 90°, by angle:
Position (°2θ)  I/Imax
10.4  64
29.8  49
30.9  45
31.1  84
32.3  100
35.0  41

Structural model:
```
Pm3RhI
1.0
3.952 0.000 0.000
0.000 9.615 0.000
0.000 0.000 8.520
Pm Rh I
6 2 2
direct
0.250 0.072 0.157
0.250 0.250 0.764
0.250 0.428 0.157
0.750 0.572 0.843
0.750 0.750 0.236
0.750 0.928 0.843
0.250 0.750 0.012
0.750 0.250 0.988
0.250 0.750 0.563
0.750 0.250 0.437
```



Starting from a structure optimized by DFT (PBE), the powder XRD pattern of RbCeBiO4 was simulated for Cu Kα.
Peak positions follow from Bragg's law for the DFT cell and can differ from measured ones.

Principal peaks in the range 2θ from 10° to 90°, by angle:
Position (°2θ)  I/Imax
14.9  81
28.4  100
28.6  55
28.8  76
29.8  55
49.9  87

Structural model:
```
RbCeBiO4
1.0
-3.658 3.695 5.133
3.658 -3.695 5.133
3.658 3.695 -5.133
Rb Ce Bi O
2 2 2 8
direct
0.377 0.127 0.250
0.623 0.873 0.750
0.000 0.000 0.500
0.000 0.500 0.000
0.000 0.500 0.500
0.500 0.500 0.000
0.175 0.734 0.441
0.207 0.266 0.941
0.218 0.256 0.539
0.218 0.679 0.961
0.782 0.321 0.039
0.782 0.744 0.461
0.793 0.734 0.059
0.825 0.266 0.559
```



Starting from a structure optimized by DFT (PBE), the powder XRD pattern of AlZnRu2 was simulated for Cu Kα.
Peak positions follow from Bragg's law for the DFT cell and can differ from measured ones.

Principal peaks in the range 2θ from 10° to 90°, by angle:
Position (°2θ)  I/Imax
21.5  19
38.9  32
42.3  100
43.8  22
60.0  17
72.8  19

Structural model:
```
AlZnRu2
1.0
2.967 0.000 0.000
0.000 4.629 0.000
0.000 0.000 8.269
Al Zn Ru
2 2 4
direct
0.000 0.000 0.000
0.500 0.500 0.000
0.000 0.000 0.500
0.500 0.500 0.500
0.000 0.500 0.241
0.000 0.500 0.759
0.500 0.000 0.241
0.500 0.000 0.759
```